[1]
Theoretical powder diffraction line list of Ta7Ga2C2 for λ = 1.5418 Å (Cu Kα), from the GGA-PBE geometry in Alexandria.

Most intense lines, 10° ≤ 2θ ≤ 80°, low angle first:
hkl 1 1 2, 2θ = 37.97°, intensity 42; hkl 0 3 3, 2θ = 38.11°, intensity 100; hkl 0 6 0, 2θ = 38.68°, intensity 43; hkl 1 4 1, 2θ = 41.43°, intensity 51; hkl 1 3 2, 2θ = 42.30°, intensity 37; hkl 2 3 3, 2θ = 75.76°, intensity 31

Atomic structure:
```
data_Ta7Ga2C2
_chemical_formula_sum 'Ta14 Ga4 C4'
_cell_length_a 2.965
_cell_length_b 13.968
_cell_length_c 8.220
_cell_angle_alpha 90.00
_cell_angle_beta 90.00
_cell_angle_gamma 90.00
_symmetry_space_group_name_H-M 'I m m 2'
_symmetry_Int_Tables_number 44
loop_
_symmetry_equiv_pos_as_xyz
'x,y,z'
'-x,-y,z'
'-x,y,z'
'x,-y,z'
'x+1/2,y+1/2,z+1/2'
'-x+1/2,-y+1/2,z+1/2'
'-x+1/2,y+1/2,z+1/2'
'x+1/2,-y+1/2,z+1/2'
loop_
_atom_site_label
_atom_site_fract_x
_atom_site_fract_y
_atom_site_fract_z
Ta1 0.000 0.000 0.000
Ta2 0.000 0.146 0.457
Ta3 0.000 0.324 0.640
Ta4 0.000 0.344 0.290
Ga1 0.000 0.000 0.671
Ga2 0.000 0.500 0.802
C1 0.000 0.243 0.915
```

=====

[2]
Theoretical powder diffraction line list of Zr3TiGa2C for λ = 1.5418 Å (Cu Kα), from the GGA-PBE geometry in Alexandria.

Most intense lines, 10° ≤ 2θ ≤ 80°, low angle first:
hkl 1 1 0, 2θ = 29.81°, intensity 31; hkl 1 1 2, 2θ = 32.32°, intensity 69; hkl 0 0 6, 2θ = 37.20°, intensity 37; hkl 1 1 4, 2θ = 38.99°, intensity 100; hkl 0 2 0, 2θ = 41.41°, intensity 35; hkl 2 0 0, 2θ = 43.89°, intensity 29

Atomic structure:
```
data_Zr3TiGa2C
_chemical_formula_sum 'Zr6 Ti2 Ga4 C2'
_cell_length_a 4.126
_cell_length_b 4.361
_cell_length_c 14.504
_cell_angle_alpha 90.00
_cell_angle_beta 90.00
_cell_angle_gamma 90.00
_symmetry_space_group_name_H-M 'I m m m'
_symmetry_Int_Tables_number 71
_symmetry_space_group_name_Hall '-I 2 2'
loop_
_atom_site_label
_atom_site_fract_x
_atom_site_fract_y
_atom_site_fract_z
Zr1 0.000 0.000 0.000
Zr2 0.000 0.500 0.163
Ti1 0.000 0.000 0.500
Ga1 0.000 0.500 0.362
C1 0.000 0.500 0.000
```

=====

[3]
Theoretical powder diffraction line list of TlGaC2 for λ = 1.5418 Å (Cu Kα), from the GGA-PBE geometry in Alexandria.

Most intense lines, 10° ≤ 2θ ≤ 80°, low angle first:
hkl 1 0 1, 2θ = 19.81°, intensity 28; hkl 1 1 2, 2θ = 30.96°, intensity 100; hkl 2 0 0, 2θ = 35.75°, intensity 29; hkl 0 0 4, 2θ = 36.20°, intensity 14; hkl 2 0 4, 2θ = 51.79°, intensity 27; hkl 3 1 2, 2θ = 61.27°, intensity 29

Atomic structure:
```
data_TlGaC2
_chemical_formula_sum 'Tl4 Ga4 C8'
_cell_length_a 5.023
_cell_length_b 5.023
_cell_length_c 9.926
_cell_angle_alpha 90.00
_cell_angle_beta 90.00
_cell_angle_gamma 90.00
_symmetry_space_group_name_H-M 'I -4 2 d'
_symmetry_Int_Tables_number 122
_symmetry_space_group_name_Hall 'I -4 2bw'
loop_
_atom_site_label
_atom_site_fract_x
_atom_site_fract_y
_atom_site_fract_z
Tl1 0.000 0.000 0.000
Ga1 0.000 0.000 0.500
C1 0.201 0.250 0.625
```